Entry 1:
Computed X-ray powder pattern of TmPa2Tc2 for Cu Kα X-rays, from a cell relaxed with GGA-PBE.

Top 8 peaks for 10 to 90 degrees two-theta, by intensity:
2θ (°)	I (rel.)	hkl
36.4	100	1 1 -3
34.2	33	0 2 0
62.7	21	1 3 -3
38.3	16	0 0 5
52.2	13	0 2 5
28.4	12	0 1 3
64.3	11	2 2 -1
52.7	10	2 0 -1

Crystal structure
```
data_TmPa2Tc2
_cell_length_a 3.474
_cell_length_b 5.248
_cell_length_c 11.893
_cell_angle_alpha 90.00
_cell_angle_beta 98.42
_cell_angle_gamma 90.00
_symmetry_space_group_name_H-M 'P 1 21/m 1'
_symmetry_Int_Tables_number 11
loop_
_symmetry_equiv_pos_as_xyz
'x,y,z'
'-x,-y,-z'
'-x,y+1/2,-z'
'x,-y+1/2,z'
loop_
_atom_site_label
_atom_site_fract_x
_atom_site_fract_y
_atom_site_fract_z
_atom_site_occupancy
Tm1 0.143 0.250 0.284 1
Pa1 0.050 0.750 0.100 1
Pa2 0.234 0.750 0.471 1
Tc1 0.358 0.250 0.716 1
Tc2 0.462 0.750 0.923 1
```

***

Entry 2:
Computed X-ray powder pattern of U2Pa3Tc7 for Cu Kα X-rays, from a cell relaxed with GGA-PBE.

Top 8 peaks for 10 to 90 degrees two-theta, by intensity:
2θ (°)	I (rel.)	hkl
38.6	100	1 1 6
31.1	58	1 1 0
60.4	28	3 0 6
64.8	23	2 2 0
45.4	19	0 0 12
36.3	18	0 2 1
82.7	15	2 2 12
40.8	13	2 0 5

Crystal structure
```
data_U2Pa3Tc7
_cell_length_a 5.7531
_cell_length_b 5.7531
_cell_length_c 23.9616
_cell_angle_alpha 90.00
_cell_angle_beta 90.00
_cell_angle_gamma 120.00
_symmetry_space_group_name_H-M 'R -3 m'
_symmetry_Int_Tables_number 166
_symmetry_space_group_name_Hall '-R 3 2"'
loop_
_atom_site_label
_atom_site_fract_x
_atom_site_fract_y
_atom_site_fract_z
_atom_site_occupancy
U1 0.0000 0.0000 0.1657 1
Pa1 0.0000 0.0000 0.3569 1
Pa2 0.0000 0.0000 0.5000 1
Tc1 0.0000 0.0000 0.0000 1
Tc2 0.0034 0.5017 0.4166 1
```